Computed powder diffractogram
Compound: MgAgF3
Radiation: copper Kα
Structure: a structure optimized by DFT (GGA-PBE)
Neutral-atom scattering factors, no anomalous dispersion.

Principal peaks in the range 5° ≤ 2θ ≤ 70°, by angle:
Position (°2θ), I_rel
22.4, 78
31.7, 100
31.9, 90
39.3, 67
45.6, 81
56.8, 64

Cell and atoms:
```
MgAgF3
1.0
2.806 1.620 4.613
-2.806 1.620 4.613
0.000 -3.240 4.613
Mg Ag F
2 2 6
Direct
0.000 0.000 0.000 Mg
0.500 0.500 0.500 Mg
0.250 0.250 0.250 Ag
0.750 0.750 0.750 Ag
0.188 0.750 0.312 F
0.250 0.688 0.812 F
0.312 0.188 0.750 F
0.688 0.812 0.250 F
0.750 0.312 0.188 F
0.812 0.250 0.688 F
```